Record 1
Diffraction record for Zr4ScTi. The powder diffraction line list is theoretical, not measured: it uses a DFT-relaxed cell (PBE, Alexandria) and Cu Kα (λ = 1.5418 Å).
Peak positions follow from Bragg's law for the DFT cell and can differ from measured ones.

Principal peaks in the range 2θ from 10° to 90°, by intensity:
2θ/deg	intensity
35.76	100
36.64	70
36.84	55
36.35	33
33.29	32
37.08	19
39.21	16
65.07	15
27.64	13
60.17	13

Cell and atoms:
```
data_Zr4ScTi
_space_group_name_H-M_alt 'P 1'
_space_group_IT_number 1
_space_group_name_Hall 'P 1'
_cell_length_a 5.386
_cell_length_b 6.009
_cell_length_c 8.728
_cell_angle_alpha 106.57
_cell_angle_beta 91.85
_cell_angle_gamma 90.27
loop_
_atom_site_label
_atom_site_type_symbol
_atom_site_fract_x
_atom_site_fract_y
_atom_site_fract_z
Zr1 Zr 0.156 0.360 0.274
Zr2 Zr 0.290 0.856 0.254
Zr3 Zr 0.323 0.551 0.886
Zr4 Zr 0.332 0.726 0.574
Zr5 Zr 0.668 0.274 0.426
Zr6 Zr 0.677 0.449 0.114
Zr7 Zr 0.710 0.144 0.746
Zr8 Zr 0.844 0.640 0.726
Sc1 Sc 0.230 0.066 0.920
Sc2 Sc 0.770 0.934 0.080
Ti1 Ti 0.177 0.206 0.577
Ti2 Ti 0.823 0.794 0.423
```



Record 2
Diffraction record for Pr2CuS2O2. The powder diffraction line list is theoretical, not measured: it uses a DFT-relaxed cell (PBE, Alexandria) and Cu Kα (λ = 1.5418 Å).
Peak positions follow from Bragg's law for the DFT cell and can differ from measured ones.

Principal peaks in the range 2θ from 10° to 90°, by intensity:
2θ/deg	intensity
26.83	100
30.37	49
45.05	35
41.86	25
24.29	19
48.99	17
56.74	16
51.83	15
35.55	15
53.21	15

Cell and atoms:
```
data_Pr2CuS2O2
_space_group_name_H-M_alt 'P 1'
_space_group_IT_number 1
_space_group_name_Hall 'P 1'
_cell_length_a 4.025
_cell_length_b 4.025
_cell_length_c 10.991
_cell_angle_alpha 90.00
_cell_angle_beta 90.00
_cell_angle_gamma 120.00
loop_
_atom_site_label
_atom_site_type_symbol
_atom_site_fract_x
_atom_site_fract_y
_atom_site_fract_z
Pr1 Pr 0.333 0.667 0.139
Pr2 Pr 0.667 0.333 0.861
Cu1 Cu 0.000 0.000 0.500
S1 S 0.000 0.000 0.310
S2 S 0.000 0.000 0.690
O1 O 0.333 0.667 0.919
O2 O 0.667 0.333 0.081
```



Record 3
Diffraction record for Nb2Ru3Pt. The powder diffraction line list is theoretical, not measured: it uses a DFT-relaxed cell (PBE, Alexandria) and Cu Kα (λ = 1.5418 Å).
Peak positions follow from Bragg's law for the DFT cell and can differ from measured ones.

Principal peaks in the range 2θ from 10° to 90°, by intensity:
2θ/deg	intensity
39.01	100
39.75	98
46.21	62
66.44	50
44.97	34
81.68	23
80.25	22
79.41	13
20.28	13
78.93	12

Cell and atoms:
```
data_Nb2Ru3Pt
_space_group_name_H-M_alt 'P 1'
_space_group_IT_number 1
_space_group_name_Hall 'P 1'
_cell_length_a 4.876
_cell_length_b 4.876
_cell_length_c 9.357
_cell_angle_alpha 110.81
_cell_angle_beta 110.81
_cell_angle_gamma 68.44
loop_
_atom_site_label
_atom_site_type_symbol
_atom_site_fract_x
_atom_site_fract_y
_atom_site_fract_z
Nb1 Nb 0.049 0.298 0.098
Nb2 Nb 0.298 0.049 0.598
Nb3 Nb 0.702 0.951 0.402
Nb4 Nb 0.951 0.702 0.902
Ru1 Ru 0.125 0.875 0.250
Ru2 Ru 0.214 0.463 0.427
Ru3 Ru 0.463 0.214 0.927
Ru4 Ru 0.537 0.786 0.073
Ru5 Ru 0.786 0.537 0.573
Ru6 Ru 0.875 0.125 0.750
Pt1 Pt 0.375 0.625 0.750
Pt2 Pt 0.625 0.375 0.250
```